This entry pairs a crystal structure of Be9Nb2Re with its computed powder XRD pattern. Radiation: Cu Kα (λ = 1.5418 Å). Structure: a crystal structure in Alexandria, relaxed with GGA-PBE.

Cell and atoms:
Lattice parameters (Å, degrees): 4.4790 4.4790 13.9564 90.00 90.00 120.00
Sites, in units of the cell vectors:
Be 0.0000 0.0000 0.0000
Be 0.0000 0.0000 0.2500
Be 0.0000 0.0000 0.5000
Be 0.0000 0.0000 0.7500
Be 0.1676 0.3352 0.1306
Be 0.1676 0.3352 0.3694
Be 0.1676 0.8324 0.1306
Be 0.1676 0.8324 0.3694
Be 0.3333 0.6667 0.2500
Be 0.3352 0.1676 0.6306
Be 0.3352 0.1676 0.8694
Be 0.6648 0.8324 0.1306
Be 0.6648 0.8324 0.3694
Be 0.6667 0.3333 0.7500
Be 0.8324 0.1676 0.6306
Be 0.8324 0.1676 0.8694
Be 0.8324 0.6648 0.6306
Be 0.8324 0.6648 0.8694
Nb 0.3333 0.6667 0.5384
Nb 0.3333 0.6667 0.9616
Nb 0.6667 0.3333 0.0384
Nb 0.6667 0.3333 0.4616
Re 0.3333 0.6667 0.7500
Re 0.6667 0.3333 0.2500

Top 12 peaks for 15 to 90 degrees two-theta, low angle first:
Position (°2θ)  Rel. int.
22.93  48
23.81  100
25.53  31
34.58  23
39.79  78
40.27  54
47.32  22
48.29  46
57.90  21
64.74  15
72.88  27
79.02  21

This entry pairs a crystal structure of PbSeI with its computed powder XRD pattern. Radiation: Cu Kα (λ = 1.5418 Å). Structure: a crystal structure in Alexandria, relaxed with GGA-PBE.

Cell and atoms:
Lattice parameters (Å, degrees): 4.5894 5.9364 9.0379 71.02 83.21 75.47
Sites, in units of the cell vectors:
Pb 0.1369 0.0622 0.2515
Pb 0.8631 0.9378 0.7485
Se 0.4310 0.8045 0.5653
Se 0.5690 0.1955 0.4347
I 0.1797 0.3040 0.8410
I 0.8203 0.6960 0.1590

Top 12 peaks for 15 to 90 degrees two-theta, low angle first:
Position (°2θ)  Rel. int.
16.21  100
20.80  77
22.49  81
28.63  41
29.00  71
29.60  67
30.26  77
31.13  37
32.59  79
33.00  49
33.91  88
38.19  57

This entry pairs a crystal structure of V7Pt with its computed powder XRD pattern. Radiation: Cu Kα (λ = 1.5418 Å). Structure: a crystal structure in Alexandria, relaxed with GGA-PBE.

Cell and atoms:
Lattice parameters (Å, degrees): 6.7232 6.7232 6.7232 143.14 143.14 53.11
Sites, in units of the cell vectors:
V 0.0000 0.0000 0.0000
V 0.1294 0.6294 0.5000
V 0.2461 0.2461 0.0000
V 0.3706 0.8706 0.5000
V 0.6294 0.1294 0.5000
V 0.7539 0.7539 0.0000
V 0.8706 0.3706 0.5000
Pt 0.5000 0.5000 0.0000

Top 12 peaks for 15 to 90 degrees two-theta, low angle first:
Position (°2θ)  Rel. int.
22.18  23
29.72  9
30.65  12
33.33  11
42.53  100
43.21  4
45.25  5
48.48  6
53.34  6
61.71  15
69.98  4
77.83  30

This entry pairs a crystal structure of LiBe2F5 with its computed powder XRD pattern. Radiation: Cu Kα (λ = 1.5418 Å). Structure: a crystal structure in Alexandria, relaxed with GGA-PBE.

Cell and atoms:
Lattice parameters (Å, degrees): 4.5167 4.6150 5.2678 72.79 71.79 67.47
Sites, in units of the cell vectors:
Li 0.0000 0.0000 0.0000
Be 0.0019 0.5944 0.6013
Be 0.3878 0.0025 0.3921
F 0.1640 0.8272 0.6478
F 0.2961 0.3465 0.4435
F 0.3439 0.9997 0.1234
F 0.7699 0.8236 0.3930
F 0.8227 0.4356 0.8576

Top 12 peaks for 15 to 90 degrees two-theta, low angle first:
Position (°2θ)  Rel. int.
18.10  29
21.87  14
25.10  100
25.21  15
36.38  47
38.37  18
39.72  30
40.39  23
43.34  14
44.59  13
51.52  14
52.40  18

Please write out number 3 again, unchanged.
This entry pairs a crystal structure of V7Pt with its computed powder XRD pattern. Radiation: Cu Kα (λ = 1.5418 Å). Structure: a crystal structure in Alexandria, relaxed with GGA-PBE.

Cell and atoms:
Lattice parameters (Å, degrees): 6.7232 6.7232 6.7232 143.14 143.14 53.11
Sites, in units of the cell vectors:
V 0.0000 0.0000 0.0000
V 0.1294 0.6294 0.5000
V 0.2461 0.2461 0.0000
V 0.3706 0.8706 0.5000
V 0.6294 0.1294 0.5000
V 0.7539 0.7539 0.0000
V 0.8706 0.3706 0.5000
Pt 0.5000 0.5000 0.0000

Top 12 peaks for 15 to 90 degrees two-theta, low angle first:
Position (°2θ)  Rel. int.
22.18  23
29.72  9
30.65  12
33.33  11
42.53  100
43.21  4
45.25  5
48.48  6
53.34  6
61.71  15
69.98  4
77.83  30